Structure and calculated X-ray diffraction stick pattern of ErP3O9 (a PBE-relaxed structure; λ = 1.5418 Å (Cu Kα)).
Neutral-atom scattering factors, no anomalous dispersion.

Principal peaks in the range 10° ≤ 2θ ≤ 90°, by angle:
2θ 15.47, rel. 64.3; 2θ 18.15, rel. 22.6; 2θ 18.41, rel. 36.3; 2θ 21.99, rel. 40.0; 2θ 22.66, rel. 21.8; 2θ 24.29, rel. 100.0; 2θ 25.21, rel. 32.4; 2θ 27.76, rel. 19.0; 2θ 28.31, rel. 21.3; 2θ 40.37, rel. 15.9

Structural model:
Cell: 7.0707 9.7746 11.0872 Å, 90.00 92.10 90.00°
Atoms (fractional coordinates):
Er1 0.1765 0.2500 0.4619
Er2 0.3119 0.2500 0.9802
Er3 0.6881 0.7500 0.0198
Er4 0.8235 0.7500 0.5381
P1 0.1795 0.7500 0.1005
P2 0.2680 0.0110 0.2308
P3 0.2680 0.4890 0.2308
P4 0.3127 0.7500 0.6248
P5 0.3265 0.0350 0.7156
P6 0.3265 0.4650 0.7156
P7 0.6735 0.5350 0.2844
P8 0.6735 0.9650 0.2844
P9 0.6873 0.2500 0.3752
P10 0.7320 0.5110 0.7692
P11 0.7320 0.9890 0.7692
P12 0.8205 0.2500 0.8995
O1 0.0082 0.7500 0.0183
O2 0.1417 0.7500 0.5400
O3 0.1529 0.0862 0.3203
O4 0.1529 0.4138 0.3203
O5 0.1535 0.6244 0.1933
O6 0.1535 0.8756 0.1933
O7 0.2298 0.0938 0.6047
O8 0.2298 0.4062 0.6047
O9 0.2800 0.0907 0.8367
O10 0.2800 0.4093 0.8367
O11 0.2953 0.6274 0.7213
O12 0.2953 0.8726 0.7213
O13 0.3284 0.0870 0.1208
O14 0.3284 0.4130 0.1208
O15 0.3735 0.7500 0.0550
O16 0.4497 0.5514 0.3040
O17 0.4497 0.9486 0.3040
O18 0.4938 0.2500 0.4267
O19 0.5062 0.7500 0.5733
O20 0.5503 0.0514 0.6960
O21 0.5503 0.4486 0.6960
O22 0.6265 0.2500 0.9450
O23 0.6716 0.5870 0.8792
O24 0.6716 0.9130 0.8792
O25 0.7047 0.1274 0.2787
O26 0.7047 0.3726 0.2787
O27 0.7200 0.5907 0.1633
O28 0.7200 0.9093 0.1633
O29 0.7702 0.5938 0.3953
O30 0.7702 0.9062 0.3953
O31 0.8465 0.1244 0.8067
O32 0.8465 0.3756 0.8067
O33 0.8472 0.5862 0.6797
O34 0.8472 0.9138 0.6797
O35 0.8583 0.2500 0.4600
O36 0.9918 0.2500 0.9817